No. 1
For Pm2ZnAg, a structure optimized by DFT (GGA-PBE) gives the computed X-ray powder pattern in this record (Cu Kα (λ = 1.5418 Å)).
Kinematic intensities with the Lorentz-polarization factor, no thermal factor.

Principal peaks in the range 10 to 90 degrees two-theta, sorted by position:
2θ (°), d [Å], I_rel
24.00, 3.708, 6
34.20, 2.622, 100
42.21, 2.141, 2
49.14, 1.854, 18
55.40, 1.658, 3
61.23, 1.514, 36
72.03, 1.311, 11
82.21, 1.173, 15

Structural model:
```
data_Pm2ZnAg
_cell_length_a 5.2441
_cell_length_b 5.2441
_cell_length_c 5.2441
_cell_angle_alpha 60.00
_cell_angle_beta 60.00
_cell_angle_gamma 60.00
_symmetry_space_group_name_H-M 'P 1'
_symmetry_Int_Tables_number 1
_symmetry_space_group_name_Hall 'P 1'
loop_
_atom_site_label
_atom_site_fract_x
_atom_site_fract_y
_atom_site_fract_z
Pm1 0.2500 0.2500 0.2500
Pm2 0.7500 0.7500 0.7500
Zn1 0.0000 0.0000 0.0000
Ag1 0.5000 0.5000 0.5000
```

***

No. 2
For Ba3P2Se4O4, a structure optimized by DFT (GGA-PBE) gives the computed X-ray powder pattern in this record (Cu Kα (λ = 1.5418 Å)).
Kinematic intensities with the Lorentz-polarization factor, no thermal factor.

Principal peaks in the range 10 to 90 degrees two-theta, sorted by position:
2θ (°), d [Å], I_rel
25.06, 3.554, 34
26.23, 3.397, 35
27.47, 3.247, 22
27.82, 3.207, 57
28.36, 3.147, 100
30.96, 2.889, 48
32.36, 2.766, 34
32.68, 2.741, 23

Structural model:
```
data_Ba3P2Se4O4
_cell_length_a 6.9098
_cell_length_b 7.2394
_cell_length_c 12.9065
_cell_angle_alpha 82.29
_cell_angle_beta 78.80
_cell_angle_gamma 80.92
_symmetry_space_group_name_H-M 'P 1'
_symmetry_Int_Tables_number 1
_symmetry_space_group_name_Hall 'P 1'
loop_
_atom_site_label
_atom_site_fract_x
_atom_site_fract_y
_atom_site_fract_z
Ba1 0.0455 0.1841 0.3509
Ba2 0.2941 0.7322 0.1112
Ba3 0.3517 0.3176 0.6249
Ba4 0.6483 0.6824 0.3751
Ba5 0.7059 0.2678 0.8888
Ba6 0.9545 0.8159 0.6491
P1 0.1407 0.6948 0.3853
P2 0.3914 0.8037 0.8094
P3 0.6086 0.1963 0.1906
P4 0.8593 0.3052 0.6147
Se1 0.2051 0.0592 0.8686
Se2 0.2409 0.5500 0.8612
Se3 0.3420 0.2359 0.1122
Se4 0.4585 0.8355 0.6329
Se5 0.5415 0.1645 0.3671
Se6 0.6580 0.7641 0.8878
Se7 0.7591 0.4500 0.1388
Se8 0.7949 0.9408 0.1314
O1 0.0452 0.1742 0.5627
O2 0.0694 0.5604 0.3200
O3 0.2569 0.5930 0.4725
O4 0.2807 0.8204 0.3053
O5 0.7193 0.1796 0.6947
O6 0.7431 0.4070 0.5275
O7 0.9306 0.4396 0.6800
O8 0.9548 0.8258 0.4373
```